Record 1
Structure and computed X-ray diffraction stick pattern of Hf2Zr3Sc3 (a GGA-PBE-relaxed structure; a wavelength of 1.5418 Å).

Most intense lines, 2θ = 10–90°, sorted by position:
- 15.5 deg, I 23
- 21.2 deg, I 27
- 31.2 deg, I 22
- 34.1 deg, I 17
- 35.9 deg, I 100
- 37.2 deg, I 76
- 38.0 deg, I 21
- 52.6 deg, I 29
- 66.2 deg, I 32
- 72.1 deg, I 18

```
data_Hf2Zr3Sc3
_chemical_formula_sum 'Hf2 Zr3 Sc3'
_space_group_name_H-M_alt 'P 1'
_space_group_IT_number 1
_cell_length_a 5.756
_cell_length_b 5.756
_cell_length_c 5.756
_cell_angle_alpha 93.44
_cell_angle_beta 93.44
_cell_angle_gamma 93.44
loop_
_space_group_symop_operation_xyz
'x,y,z'
loop_
_atom_site_label
_atom_site_type_symbol
_atom_site_fract_x
_atom_site_fract_y
_atom_site_fract_z
_atom_site_occupancy
Hf1 Hf 0.180 0.180 0.180 1
Hf2 Hf 0.820 0.820 0.820 1
Zr1 Zr 0.000 0.683 0.317 1
Zr2 Zr 0.317 0.000 0.683 1
Zr3 Zr 0.683 0.317 0.000 1
Sc1 Sc 0.228 0.500 0.772 1
Sc2 Sc 0.500 0.772 0.228 1
Sc3 Sc 0.772 0.228 0.500 1
```



Record 2
Structure and computed X-ray diffraction stick pattern of As2PbS4 (a GGA-PBE-relaxed structure; a wavelength of 1.5418 Å).

Most intense lines, 2θ = 10–90°, sorted by position:
- 17.9 deg, I 100
- 20.0 deg, I 70
- 22.6 deg, I 37
- 23.3 deg, I 55
- 24.4 deg, I 28
- 24.8 deg, I 38
- 25.5 deg, I 30
- 28.9 deg, I 31
- 31.3 deg, I 55
- 31.7 deg, I 29

```
data_As2PbS4
_chemical_formula_sum 'As4 Pb2 S8'
_space_group_name_H-M_alt 'P 1'
_space_group_IT_number 1
_cell_length_a 7.550
_cell_length_b 7.559
_cell_length_c 8.650
_cell_angle_alpha 112.32
_cell_angle_beta 103.34
_cell_angle_gamma 107.45
loop_
_space_group_symop_operation_xyz
'x,y,z'
loop_
_atom_site_label
_atom_site_type_symbol
_atom_site_fract_x
_atom_site_fract_y
_atom_site_fract_z
_atom_site_occupancy
As1 As 0.000 0.000 0.000 1
As2 As 0.016 0.515 0.500 1
As3 As 0.460 0.421 0.386 1
As4 As 0.981 0.443 0.887 1
Pb1 Pb 0.462 0.051 0.779 1
Pb2 Pb 0.742 0.832 0.278 1
S1 S 0.206 0.097 0.292 1
S2 S 0.211 0.602 0.793 1
S3 S 0.295 0.649 0.438 1
S4 S 0.451 0.411 0.120 1
S5 S 0.726 0.186 0.622 1
S6 S 0.773 0.117 0.069 1
S7 S 0.803 0.659 0.937 1
S8 S 0.968 0.810 0.568 1
```



Record 3
Structure and computed X-ray diffraction stick pattern of Ba6Na5Cd (a GGA-PBE-relaxed structure; a wavelength of 1.5418 Å).

Most intense lines, 2θ = 10–90°, sorted by position:
- 19.2 deg, I 17
- 19.4 deg, I 17
- 19.5 deg, I 17
- 27.5 deg, I 100
- 27.6 deg, I 50
- 33.9 deg, I 15
- 39.6 deg, I 9
- 48.5 deg, I 9
- 48.8 deg, I 18
- 48.9 deg, I 10

```
data_Ba6Na5Cd
_chemical_formula_sum 'Ba6 Na5 Cd1'
_space_group_name_H-M_alt 'P 1'
_space_group_IT_number 1
_cell_length_a 6.445
_cell_length_b 9.243
_cell_length_c 10.206
_cell_angle_alpha 90.00
_cell_angle_beta 108.10
_cell_angle_gamma 90.00
loop_
_space_group_symop_operation_xyz
'x,y,z'
loop_
_atom_site_label
_atom_site_type_symbol
_atom_site_fract_x
_atom_site_fract_y
_atom_site_fract_z
_atom_site_occupancy
Ba1 Ba 0.000 0.226 0.000 1
Ba2 Ba 0.000 0.774 0.000 1
Ba3 Ba 0.349 0.237 0.691 1
Ba4 Ba 0.349 0.763 0.691 1
Ba5 Ba 0.651 0.237 0.309 1
Ba6 Ba 0.651 0.763 0.309 1
Na1 Na 0.167 0.500 0.343 1
Na2 Na 0.171 0.000 0.351 1
Na3 Na 0.500 0.500 0.000 1
Na4 Na 0.829 0.000 0.649 1
Na5 Na 0.833 0.500 0.657 1
Cd1 Cd 0.500 0.000 0.000 1
```